1.
Computed powder X-ray diffraction pattern
Compound: MgV8Zn4O16
Radiation: Cu Kα
Structure: a structure optimized by DFT (GGA+U)
No peak broadening, texture or thermal motion is included.

Largest 6 diffraction maxima, by angle, 2θ = 15–90°:
- 30.1°, rel. 52, (0 2 3)
- 32.3°, rel. 100, (0 2 -3)
- 34.4°, rel. 72, (1 -2 0)
- 38.2°, rel. 25, (1 0 -3)
- 52.4°, rel. 18, (0 0 6)
- 53.4°, rel. 31, (-1 4 3)

Unit cell a=3.189 b=10.055 c=10.515 alpha=85.66 beta=89.95 gamma=86.14
Space group P1 (No. 1)
Inequivalent atoms, fractional coordinates:
Mg  0.000  0.000  0.000 [1 per cell]
V  0.137  0.723  0.723 [1 per cell]
V  0.259  0.728  0.083 [1 per cell]
V  0.310  0.266  0.105 [1 per cell]
V  0.336  0.237  0.755 [1 per cell]
V  0.743  0.505  0.586 [1 per cell]
V  0.814  0.024  0.255 [1 per cell]
V  0.850  0.520  0.248 [1 per cell]
V  0.917  0.013  0.564 [1 per cell]
Zn  0.352  0.770  0.410 [1 per cell]
Zn  0.355  0.282  0.420 [1 per cell]
Zn  0.569  0.935  0.808 [1 per cell]
Zn  0.778  0.475  0.918 [1 per cell]
O  0.115  0.834  0.890 [1 per cell]
O  0.215  0.625  0.560 [1 per cell]
O  0.294  0.133  0.297 [1 per cell]
O  0.307  0.350  0.927 [1 per cell]
O  0.309  0.648  0.277 [1 per cell]
O  0.377  0.148  0.581 [1 per cell]
O  0.383  0.397  0.219 [1 per cell]
O  0.518  0.924  0.114 [1 per cell]
O  0.544  0.855  0.645 [1 per cell]
O  0.684  0.606  0.768 [1 per cell]
O  0.791  0.595  0.064 [1 per cell]
O  0.821  0.104  0.827 [1 per cell]
O  0.831  0.893  0.405 [1 per cell]
O  0.833  0.410  0.431 [1 per cell]
O  0.834  0.158  0.093 [1 per cell]
O  0.834  0.349  0.701 [1 per cell]

***

2.
Computed powder X-ray diffraction pattern
Compound: K8Li3Mn4O16
Radiation: Cu Kα
Structure: a structure optimized by DFT (GGA+U)
No peak broadening, texture or thermal motion is included.

Largest 6 diffraction maxima, by angle, 2θ = 15–90°:
- 21.8°, rel. 45, (0 2 0)
- 27.6°, rel. 86, (1 2 1)
- 27.8°, rel. 45, (1 0 3)
- 28.0°, rel. 58, (1 -2 1)
- 31.2°, rel. 100, (2 0 0)
- 32.2°, rel. 35, (0 0 4)

Unit cell a=5.744 b=8.141 c=11.135 alpha=88.16 beta=86.22 gamma=89.91
Space group P1 (No. 1)
Inequivalent atoms, fractional coordinates:
K  0.000  0.000  0.000 [1 per cell]
K  0.003  0.518  0.158 [1 per cell]
K  0.007  0.801  0.676 [1 per cell]
K  0.478  0.316  0.964 [1 per cell]
K  0.497  0.556  0.547 [1 per cell]
K  0.502  0.069  0.649 [1 per cell]
K  0.510  0.785  0.179 [1 per cell]
K  0.992  0.295  0.475 [1 per cell]
Li  0.055  0.570  0.887 [1 per cell]
Li  0.559  0.007  0.393 [1 per cell]
Li  0.944  0.067  0.267 [1 per cell]
Mn  0.049  0.810  0.390 [1 per cell]
Mn  0.456  0.267  0.271 [1 per cell]
Mn  0.531  0.771  0.886 [1 per cell]
Mn  0.958  0.312  0.773 [1 per cell]
O  0.040  0.835  0.235 [1 per cell]
O  0.067  0.129  0.731 [1 per cell]
O  0.115  0.475  0.716 [1 per cell]
O  0.172  0.236  0.235 [1 per cell]
O  0.327  0.839  0.435 [1 per cell]
O  0.328  0.641  0.959 [1 per cell]
O  0.470  0.248  0.427 [1 per cell]
O  0.477  0.967  0.930 [1 per cell]
O  0.527  0.765  0.734 [1 per cell]
O  0.550  0.450  0.211 [1 per cell]
O  0.627  0.102  0.221 [1 per cell]
O  0.689  0.333  0.726 [1 per cell]
O  0.806  0.719  0.929 [1 per cell]
O  0.874  0.971  0.444 [1 per cell]
O  0.944  0.625  0.441 [1 per cell]
O  0.959  0.331  0.925 [1 per cell]

***

3.
Computed powder X-ray diffraction pattern
Compound: Li4Co7O3F13
Radiation: Cu Kα
Structure: a structure optimized by DFT (GGA+U)
No peak broadening, texture or thermal motion is included.

Largest 6 diffraction maxima, by angle, 2θ = 15–90°:
- 17.7°, rel. 61, (1 0 -1)
- 18.1°, rel. 100, (1 -1 1)
- 34.1°, rel. 39, (1 1 1)
- 34.3°, rel. 30, (1 1 -3)
- 41.5°, rel. 44, (-2 2 2)
- 42.0°, rel. 87, (2 0 2)

Unit cell a=6.065 b=6.093 c=10.540 alpha=105.48 beta=91.49 gamma=118.99
Space group P1 (No. 1)
Inequivalent atoms, fractional coordinates:
Li  0.000  0.000  0.000 [1 per cell]
Li  0.140  0.227  0.383 [1 per cell]
Li  0.516  0.031  0.501 [1 per cell]
Li  0.666  0.244  0.881 [1 per cell]
Co  0.054  0.612  0.693 [1 per cell]
Co  0.061  0.120  0.714 [1 per cell]
Co  0.073  0.615  0.194 [1 per cell]
Co  0.324  0.610  0.944 [1 per cell]
Co  0.568  0.118  0.192 [1 per cell]
Co  0.597  0.619  0.689 [1 per cell]
Co  0.807  0.614  0.443 [1 per cell]
O  0.721  0.413  0.569 [1 per cell]
O  0.958  0.875  0.801 [1 per cell]
O  0.999  0.385  0.809 [1 per cell]
F  0.183  0.386  0.065 [1 per cell]
F  0.186  0.892  0.576 [1 per cell]
F  0.197  0.859  0.070 [1 per cell]
F  0.212  0.374  0.582 [1 per cell]
F  0.430  0.877  0.306 [1 per cell]
F  0.448  0.370  0.815 [1 per cell]
F  0.448  0.841  0.807 [1 per cell]
F  0.461  0.353  0.318 [1 per cell]
F  0.668  0.879  0.058 [1 per cell]
F  0.716  0.359  0.076 [1 per cell]
F  0.719  0.895  0.570 [1 per cell]
F  0.940  0.365  0.313 [1 per cell]
F  0.964  0.842  0.326 [1 per cell]

***

4.
Computed powder X-ray diffraction pattern
Compound: BaYCo2O5
Radiation: Cu Kα
Structure: a structure optimized by DFT (GGA+U)
No peak broadening, texture or thermal motion is included.

Largest 6 diffraction maxima, by angle, 2θ = 15–90°:
- 32.4°, rel. 41, (1 1 0)
- 32.7°, rel. 100, (1 0 2)
- 40.2°, rel. 13, (1 1 2)
- 46.5°, rel. 30, (2 0 0)
- 58.0°, rel. 37, (2 1 2)
- 58.5°, rel. 22, (1 1 4)

Unit cell a=3.908 b=3.908 c=7.692 alpha=90.00 beta=90.00 gamma=90.00
Space group P4/mmm (No. 123)
Inequivalent atoms, fractional coordinates:
Ba  0.000  0.000  0.000 [1 per cell]
Y  0.000  0.000  0.500 [1 per cell]
Co  0.500  0.500  0.261 [2 per cell]
O  0.000  0.500  0.316 [4 per cell]
O  0.500  0.500  0.000 [1 per cell]

***

5.
Computed powder X-ray diffraction pattern
Compound: LuVO4
Radiation: Cu Kα
Structure: a structure optimized by DFT (GGA+U)
No peak broadening, texture or thermal motion is included.

Largest 6 diffraction maxima, by angle, 2θ = 15–90°:
- 19.4°, rel. 38, (1 0 1)
- 29.9°, rel. 100, (1 1 2)
- 35.8°, rel. 20, (2 0 0)
- 49.1°, rel. 30, (2 0 4)
- 56.3°, rel. 17, (1 1 6)
- 60.7°, rel. 30, (1 3 2)

Unit cell a=5.017 b=5.017 c=11.043 alpha=90.00 beta=90.00 gamma=90.00
Space group I4_1/a (No. 88, origin choice 2)
Inequivalent atoms, fractional coordinates:
Lu  0.000  0.250  0.125 [4 per cell]
V  0.000  0.250  0.625 [4 per cell]
O  0.153  0.009  0.293 [16 per cell]

***

6.
Computed powder X-ray diffraction pattern
Compound: Li9Mn2Co5O16
Radiation: Cu Kα
Structure: a structure optimized by DFT (GGA+U)
No peak broadening, texture or thermal motion is included.

Largest 6 diffraction maxima, by angle, 2θ = 15–90°:
- 18.3°, rel. 100, (1 0 0)
- 35.9°, rel. 27, (0 2 -2)
- 36.3°, rel. 13, (0 3 1)
- 43.3°, rel. 28, (1 2 -2)
- 43.4°, rel. 28, (2 1 3)
- 43.9°, rel. 27, (-1 3 1)

Unit cell a=5.144 b=7.699 c=7.764 alpha=82.20 beta=71.12 gamma=83.40
Space group P1 (No. 1)
Inequivalent atoms, fractional coordinates:
Li  0.000  0.000  0.000 [1 per cell]
Li  0.000  0.128  0.632 [1 per cell]
Li  0.003  0.874  0.380 [1 per cell]
Li  0.006  0.502  0.499 [1 per cell]
Li  0.008  0.613  0.131 [1 per cell]
Li  0.500  0.435  0.194 [1 per cell]
Li  0.992  0.371  0.884 [1 per cell]
Li  0.995  0.751  0.759 [1 per cell]
Li  0.997  0.257  0.249 [1 per cell]
Mn  0.502  0.686  0.439 [1 per cell]
Mn  0.504  0.065  0.317 [1 per cell]
Co  0.495  0.942  0.697 [1 per cell]
Co  0.498  0.191  0.947 [1 per cell]
Co  0.498  0.561  0.824 [1 per cell]
Co  0.498  0.802  0.067 [1 per cell]
Co  0.507  0.315  0.561 [1 per cell]
O  0.261  0.782  0.911 [1 per cell]
O  0.262  0.396  0.021 [1 per cell]
O  0.270  0.149  0.778 [1 per cell]
O  0.275  0.662  0.293 [1 per cell]
O  0.277  0.543  0.649 [1 per cell]
O  0.278  0.904  0.521 [1 per cell]
O  0.279  0.267  0.415 [1 per cell]
O  0.281  0.027  0.166 [1 per cell]
O  0.716  0.727  0.599 [1 per cell]
O  0.724  0.843  0.238 [1 per cell]
O  0.726  0.971  0.854 [1 per cell]
O  0.729  0.602  0.963 [1 per cell]
O  0.730  0.092  0.467 [1 per cell]
O  0.730  0.341  0.723 [1 per cell]
O  0.732  0.202  0.111 [1 per cell]
O  0.735  0.483  0.361 [1 per cell]

***

7.
Computed powder X-ray diffraction pattern
Compound: Li3VB2O6
Radiation: Cu Kα
Structure: a structure optimized by DFT (GGA+U)
No peak broadening, texture or thermal motion is included.

Largest 6 diffraction maxima, by angle, 2θ = 15–90°:
- 16.6°, rel. 100, (1 0 0)
- 18.1°, rel. 77, (1 0 -2)
- 21.7°, rel. 65, (0 1 2)
- 24.7°, rel. 77, (0 2 1)
- 29.7°, rel. 78, (2 0 -2)
- 39.1°, rel. 31, (0 1 4)

Unit cell a=6.048 b=7.753 c=10.936 alpha=90.00 beta=117.92 gamma=90.00
Space group P2_1/c (No. 14)
Inequivalent atoms, fractional coordinates:
Li  0.046  0.197  0.067 [4 per cell]
Li  0.281  0.553  0.116 [4 per cell]
Li  0.395  0.706  0.374 [4 per cell]
V  0.090  0.127  0.826 [4 per cell]
B  0.194  0.057  0.388 [4 per cell]
B  0.366  0.590  0.625 [4 per cell]
O  0.120  0.119  0.256 [4 per cell]
O  0.148  0.613  0.900 [4 per cell]
O  0.230  0.518  0.496 [4 per cell]
O  0.241  0.707  0.669 [4 per cell]
O  0.276  0.177  0.493 [4 per cell]
O  0.386  0.048  0.794 [4 per cell]

***

8.
Computed powder X-ray diffraction pattern
Compound: Li9Mn2Co5O16
Radiation: Cu Kα
Structure: a structure optimized by DFT (GGA+U)
No peak broadening, texture or thermal motion is included.

Largest 6 diffraction maxima, by angle, 2θ = 15–90°:
- 18.3°, rel. 100, (1 -1 0)
- 35.5°, rel. 15, (1 2 -1)
- 42.9°, rel. 29, (0 3 -1)
- 43.7°, rel. 27, (-2 1 3)
- 44.1°, rel. 26, (2 0 2)
- 63.0°, rel. 15, (2 2 -4)

Unit cell a=5.886 b=6.658 c=7.695 alpha=90.65 beta=101.37 gamma=103.25
Space group P1 (No. 1)
Inequivalent atoms, fractional coordinates:
Li  0.000  0.000  0.000 [1 per cell]
Li  0.002  0.502  0.501 [1 per cell]
Li  0.124  0.126  0.377 [1 per cell]
Li  0.248  0.252  0.749 [1 per cell]
Li  0.378  0.380  0.123 [1 per cell]
Li  0.508  0.501  0.501 [1 per cell]
Li  0.629  0.624  0.873 [1 per cell]
Li  0.753  0.743  0.252 [1 per cell]
Li  0.877  0.869  0.626 [1 per cell]
Mn  0.251  0.745  0.253 [1 per cell]
Mn  0.377  0.870  0.625 [1 per cell]
Co  0.114  0.620  0.860 [1 per cell]
Co  0.508  0.000  0.003 [1 per cell]
Co  0.641  0.134  0.382 [1 per cell]
Co  0.751  0.249  0.750 [1 per cell]
Co  0.878  0.379  0.133 [1 per cell]
O  0.041  0.316  0.931 [1 per cell]
O  0.097  0.818  0.438 [1 per cell]
O  0.192  0.459  0.303 [1 per cell]
O  0.211  0.932  0.806 [1 per cell]
O  0.321  0.590  0.688 [1 per cell]
O  0.330  0.041  0.197 [1 per cell]
O  0.416  0.695  0.068 [1 per cell]
O  0.453  0.170  0.575 [1 per cell]
O  0.540  0.812  0.439 [1 per cell]
O  0.581  0.299  0.928 [1 per cell]
O  0.666  0.934  0.806 [1 per cell]
O  0.692  0.421  0.301 [1 per cell]
O  0.806  0.069  0.184 [1 per cell]
O  0.829  0.567  0.698 [1 per cell]
O  0.913  0.184  0.566 [1 per cell]
O  0.959  0.687  0.078 [1 per cell]